Theoretical powder diffractogram
Compound: FeF
Radiation: Cu Kα (λ = 1.5418 Å)
Structure: a DFT-relaxed cell (PBE+U, Alexandria)

Cell and atoms:
```
data_FeF
_chemical_formula_sum 'Fe8 F8'
_symmetry_space_group_name_H-M 'P 4/m'
_symmetry_Int_Tables_number 83
_symmetry_space_group_name_Hall '-P 4'
_cell_length_a 9.1262
_cell_length_b 9.1262
_cell_length_c 2.9420
_cell_angle_alpha 90.00
_cell_angle_beta 90.00
_cell_angle_gamma 90.00
loop_
_atom_site_label
_atom_site_type_symbol
_atom_site_fract_x
_atom_site_fract_y
_atom_site_fract_z
Fe1 Fe 0.0999 0.1843 0.0000
Fe2 Fe 0.1279 0.6257 0.5000
F1 F 0.0988 0.4018 0.5000
F2 F 0.2812 0.6763 0.0000
```

Main lines, low angle first (10 to 80 degrees two-theta):
- 13.72 deg, rel. 43, (1 1 0)
- 21.78 deg, rel. 34, (1 2 0)
- 30.99 deg, rel. 36, (1 3 0)
- 33.48 deg, rel. 80, (1 1 1)
- 35.46 deg, rel. 41, (3 2 0)
- 37.69 deg, rel. 48, (2 1 1)
- 39.50 deg, rel. 58, (4 0 0)
- 40.77 deg, rel. 25, (4 1 0)
- 43.95 deg, rel. 100, (3 1 1)
- 63.33 deg, rel. 31, (2 5 1)